No. 1
Diffraction record for Gd3Tl2Sn2Pb3. The X-ray powder pattern is calculated, not measured: it uses a cell relaxed with GGA-PBE and Cu Kα X-rays.

Atomic structure:
```
Gd3Tl2Sn2Pb3
1.0
2.273 -12.977 0.000
2.273 12.977 0.000
0.000 0.000 4.723
Gd Tl Sn Pb
3 2 2 3
Direct
0.000 0.000 0.000
0.191 0.809 0.000
0.809 0.191 0.000
0.100 0.900 0.500
0.900 0.100 0.500
0.291 0.709 0.500
0.709 0.291 0.500
0.403 0.597 0.000
0.500 0.500 0.500
0.597 0.403 0.000
```

Main lines, in order of rising 2θ (10 to 90 degrees two-theta):
| 2θ/deg | I_rel |
| --- | --- |
| 32.3 | 100 |
| 34.6 | 19 |
| 38.1 | 17 |
| 39.6 | 15 |
| 52.4 | 12 |
| 53.6 | 11 |
| 60.5 | 14 |
| 65.2 | 14 |
| 67.3 | 12 |
| 67.6 | 12 |

No. 2
Diffraction record for Gd3Tl2Sn2Pb3. The X-ray powder pattern is calculated, not measured: it uses a cell relaxed with GGA-PBE and Cu Kα X-rays.

Atomic structure:
```
Gd3Tl2Sn2Pb3
1.0
2.288 -12.881 0.000
2.288 12.881 0.000
0.000 0.000 4.737
Gd Tl Sn Pb
3 2 2 3
Direct
0.000 0.000 0.000
0.187 0.813 0.000
0.813 0.187 0.000
0.099 0.901 0.500
0.901 0.099 0.500
0.404 0.596 0.000
0.596 0.404 0.000
0.294 0.706 0.500
0.500 0.500 0.500
0.706 0.294 0.500
```

Main lines, in order of rising 2θ (10 to 90 degrees two-theta):
| 2θ/deg | I_rel |
| --- | --- |
| 32.3 | 100 |
| 34.8 | 18 |
| 38.0 | 17 |
| 39.4 | 15 |
| 52.5 | 11 |
| 55.9 | 11 |
| 60.8 | 13 |
| 65.1 | 14 |
| 67.0 | 13 |
| 67.5 | 11 |

No. 3
Diffraction record for Gd3TlSn4Pb2. The X-ray powder pattern is calculated, not measured: it uses a cell relaxed with GGA-PBE and Cu Kα X-rays.

Atomic structure:
```
Gd3TlSn4Pb2
1.0
2.276 -12.811 0.000
2.276 12.811 0.000
0.000 0.000 4.712
Gd Tl Sn Pb
3 1 4 2
Direct
0.000 0.000 0.000
0.189 0.811 0.000
0.811 0.189 0.000
0.500 0.500 0.500
0.291 0.709 0.500
0.404 0.596 0.000
0.596 0.404 0.000
0.709 0.291 0.500
0.098 0.902 0.500
0.902 0.098 0.500
```

Main lines, in order of rising 2θ (10 to 90 degrees two-theta):
| 2θ/deg | I_rel |
| --- | --- |
| 32.5 | 100 |
| 35.0 | 18 |
| 38.2 | 17 |
| 39.6 | 15 |
| 52.8 | 11 |
| 56.2 | 11 |
| 61.2 | 13 |
| 65.4 | 14 |
| 67.4 | 13 |
| 68.0 | 11 |

No. 4
Diffraction record for Gd3TlSn4Pb2. The X-ray powder pattern is calculated, not measured: it uses a cell relaxed with GGA-PBE and Cu Kα X-rays.

Atomic structure:
```
Gd3TlSn4Pb2
1.0
2.326 -12.654 0.000
2.326 12.654 0.000
0.000 0.000 4.657
Gd Tl Sn Pb
3 1 4 2
Direct
0.000 0.000 0.000
0.184 0.816 0.000
0.816 0.184 0.000
0.500 0.500 0.500
0.096 0.904 0.500
0.405 0.595 0.000
0.595 0.405 0.000
0.904 0.096 0.500
0.294 0.706 0.500
0.706 0.294 0.500
```

Main lines, in order of rising 2θ (10 to 90 degrees two-theta):
| 2θ/deg | I_rel |
| --- | --- |
| 32.5 | 100 |
| 35.5 | 16 |
| 37.4 | 3 |
| 38.7 | 33 |
| 53.5 | 21 |
| 55.9 | 12 |
| 61.8 | 10 |
| 66.1 | 27 |
| 68.0 | 10 |
| 88.1 | 8 |

No. 5
Diffraction record for Gd3Tl2Sn3Pb2. The X-ray powder pattern is calculated, not measured: it uses a cell relaxed with GGA-PBE and Cu Kα X-rays.

Atomic structure:
```
Gd3Tl2Sn3Pb2
1.0
2.334 -12.337 0.000
2.334 12.337 0.000
0.000 0.000 4.786
Gd Tl Sn Pb
3 2 3 2
Direct
0.000 0.000 0.000
0.189 0.811 0.000
0.811 0.189 0.000
0.293 0.707 0.500
0.707 0.293 0.500
0.403 0.597 0.000
0.500 0.500 0.500
0.597 0.403 0.000
0.099 0.901 0.500
0.901 0.099 0.500
```

Main lines, in order of rising 2θ (10 to 90 degrees two-theta):
| 2θ/deg | I_rel |
| --- | --- |
| 32.4 | 100 |
| 36.4 | 16 |
| 37.6 | 17 |
| 38.6 | 16 |
| 53.3 | 11 |
| 55.0 | 12 |
| 63.0 | 12 |
| 64.6 | 14 |
| 65.9 | 13 |
| 67.7 | 11 |

No. 6
Diffraction record for Gd3Tl2Sn2Pb3. The X-ray powder pattern is calculated, not measured: it uses a cell relaxed with GGA-PBE and Cu Kα X-rays.

Atomic structure:
```
Gd3Tl2Sn2Pb3
1.0
2.363 -12.820 0.000
2.363 12.820 0.000
0.000 0.000 4.599
Gd Tl Sn Pb
3 2 2 3
Direct
0.000 0.000 0.000
0.187 0.813 0.000
0.813 0.187 0.000
0.402 0.598 0.000
0.598 0.402 0.000
0.096 0.904 0.500
0.904 0.096 0.500
0.294 0.706 0.500
0.500 0.500 0.500
0.706 0.294 0.500
```

Main lines, in order of rising 2θ (10 to 90 degrees two-theta):
| 2θ/deg | I_rel |
| --- | --- |
| 32.3 | 100 |
| 35.0 | 18 |
| 38.1 | 17 |
| 39.2 | 16 |
| 52.7 | 11 |
| 55.8 | 11 |
| 61.1 | 12 |
| 65.2 | 14 |
| 66.7 | 13 |
| 67.6 | 11 |

No. 7
Diffraction record for Gd2YSn2Pb5. The X-ray powder pattern is calculated, not measured: it uses a cell relaxed with GGA-PBE and Cu Kα X-rays.

Atomic structure:
```
Gd2YSn2Pb5
1.0
2.280 -13.503 0.000
2.280 13.503 0.000
0.000 0.000 4.554
Gd Y Sn Pb
2 1 2 5
Direct
0.189 0.811 0.000
0.811 0.189 0.000
0.500 0.500 0.500
0.096 0.904 0.500
0.904 0.096 0.500
0.000 0.000 0.000
0.291 0.709 0.500
0.403 0.597 0.000
0.597 0.403 0.000
0.709 0.291 0.500
```

Main lines, in order of rising 2θ (10 to 90 degrees two-theta):
| 2θ/deg | I_rel |
| --- | --- |
| 20.6 | 5 |
| 32.4 | 100 |
| 33.2 | 20 |
| 39.6 | 31 |
| 52.5 | 23 |
| 57.2 | 11 |
| 58.7 | 13 |
| 67.2 | 25 |
| 67.7 | 11 |
| 86.5 | 5 |

No. 8
Diffraction record for Gd2YSn3Pb4. The X-ray powder pattern is calculated, not measured: it uses a cell relaxed with GGA-PBE and Cu Kα X-rays.

Atomic structure:
```
Gd2YSn3Pb4
1.0
2.252 -13.460 0.000
2.252 13.460 0.000
0.000 0.000 4.596
Gd Y Sn Pb
2 1 3 4
Direct
0.193 0.807 0.000
0.807 0.193 0.000
0.500 0.500 0.500
0.000 0.000 0.000
0.289 0.711 0.500
0.711 0.289 0.500
0.098 0.902 0.500
0.403 0.597 0.000
0.597 0.403 0.000
0.902 0.098 0.500
```

Main lines, in order of rising 2θ (10 to 90 degrees two-theta):
| 2θ/deg | I_rel |
| --- | --- |
| 32.4 | 100 |
| 33.3 | 21 |
| 39.2 | 16 |
| 40.0 | 15 |
| 52.3 | 12 |
| 53.0 | 12 |
| 57.3 | 10 |
| 58.9 | 14 |
| 66.8 | 13 |
| 67.9 | 23 |

No. 9
Diffraction record for Gd2YSn3Pb4. The X-ray powder pattern is calculated, not measured: it uses a cell relaxed with GGA-PBE and Cu Kα X-rays.

Atomic structure:
```
Gd2YSn3Pb4
1.0
2.233 -13.398 0.000
2.233 13.398 0.000
0.000 0.000 4.581
Gd Y Sn Pb
2 1 3 4
Direct
0.189 0.811 0.000
0.811 0.189 0.000
0.500 0.500 0.500
0.000 0.000 0.000
0.405 0.595 0.000
0.595 0.405 0.000
0.096 0.904 0.500
0.291 0.709 0.500
0.709 0.291 0.500
0.904 0.096 0.500
```

Main lines, in order of rising 2θ (10 to 90 degrees two-theta):
| 2θ/deg | I_rel |
| --- | --- |
| 32.6 | 100 |
| 33.4 | 20 |
| 39.3 | 16 |
| 40.4 | 15 |
| 52.6 | 11 |
| 53.4 | 11 |
| 57.7 | 11 |
| 59.2 | 12 |
| 67.1 | 13 |
| 68.6 | 12 |

No. 10
Diffraction record for Gd2YSn5Pb2. The X-ray powder pattern is calculated, not measured: it uses a cell relaxed with GGA-PBE and Cu Kα X-rays.

Atomic structure:
```
Gd2YSn5Pb2
1.0
2.240 -13.382 0.000
2.240 13.382 0.000
0.000 0.000 4.494
Gd Y Sn Pb
2 1 5 2
Direct
0.190 0.810 0.000
0.810 0.190 0.000
0.500 0.500 0.500
0.000 0.000 0.000
0.096 0.904 0.500
0.288 0.712 0.500
0.712 0.288 0.500
0.904 0.096 0.500
0.403 0.597 0.000
0.597 0.403 0.000
```

Main lines, in order of rising 2θ (10 to 90 degrees two-theta):
| 2θ/deg | I_rel |
| --- | --- |
| 32.8 | 100 |
| 33.5 | 21 |
| 40.1 | 15 |
| 40.3 | 15 |
| 53.2 | 12 |
| 53.3 | 11 |
| 59.4 | 13 |
| 68.3 | 13 |
| 68.5 | 12 |
| 68.8 | 11 |

No. 11
Diffraction record for Gd2YSn6Pb. The X-ray powder pattern is calculated, not measured: it uses a cell relaxed with GGA-PBE and Cu Kα X-rays.

Atomic structure:
```
Gd2YSn6Pb
1.0
2.215 -13.341 0.000
2.215 13.341 0.000
0.000 0.000 4.497
Gd Y Sn Pb
2 1 6 1
Direct
0.189 0.811 0.000
0.811 0.189 0.000
0.500 0.500 0.500
0.097 0.903 0.500
0.288 0.712 0.500
0.403 0.597 0.000
0.597 0.403 0.000
0.712 0.288 0.500
0.903 0.097 0.500
0.000 0.000 0.000
```

Main lines, in order of rising 2θ (10 to 90 degrees two-theta):
| 2θ/deg | I_rel |
| --- | --- |
| 33.0 | 100 |
| 33.6 | 20 |
| 40.1 | 16 |
| 40.7 | 15 |
| 53.3 | 11 |
| 53.8 | 11 |
| 58.5 | 11 |
| 59.7 | 12 |
| 68.4 | 13 |
| 69.2 | 22 |

No. 12
Diffraction record for GdY2Sn2Pb5. The X-ray powder pattern is calculated, not measured: it uses a cell relaxed with GGA-PBE and Cu Kα X-rays.

Atomic structure:
```
GdY2Sn2Pb5
1.0
2.256 -13.477 0.000
2.256 13.477 0.000
0.000 0.000 4.615
Gd Y Sn Pb
1 2 2 5
Direct
0.000 0.000 0.000
0.306 0.694 0.500
0.694 0.306 0.500
0.211 0.789 0.000
0.789 0.211 0.000
0.099 0.901 0.500
0.400 0.600 0.000
0.500 0.500 0.500
0.600 0.400 0.000
0.901 0.099 0.500
```

Main lines, in order of rising 2θ (10 to 90 degrees two-theta):
| 2θ/deg | I_rel |
| --- | --- |
| 32.3 | 100 |
| 33.2 | 22 |
| 39.0 | 15 |
| 40.0 | 15 |
| 52.2 | 12 |
| 52.9 | 12 |
| 58.8 | 16 |
| 66.5 | 13 |
| 67.7 | 12 |
| 67.8 | 12 |